Starting from the GGA-PBE geometry in Alexandria, the powder X-ray diffraction pattern of BTeSe2Br was calculated for a wavelength of 1.5418 Å.
Peak positions follow from Bragg's law for the DFT cell and can differ from measured ones.

a b c (Å): 4.7297 4.7297 4.4870
angles (deg): 90.00 90.00 90.00
Element x y z (fractional)
B 0.0000 0.0000 0.0000
Te 0.5000 0.5000 0.5000
Se 0.0000 0.5000 0.0000
Se 0.5000 0.0000 0.0000
Br 0.0000 0.0000 0.5000

Principal peaks in the range 15 to 90 degrees two-theta, most intense first:
two_theta  Rel. int.
33.42  100
38.05  38
65.82  27
56.54  23
40.20  16
54.91  13
70.20  12
68.75  12
81.38  4
27.40  3


Starting from the GGA-PBE geometry in Alexandria, the powder X-ray diffraction pattern of YBSe2Br was calculated for a wavelength of 1.5418 Å.
Peak positions follow from Bragg's law for the DFT cell and can differ from measured ones.

a b c (Å): 4.6966 4.6966 4.5540
angles (deg): 90.00 90.00 90.00
Element x y z (fractional)
Y 0.0000 0.0000 0.0000
B 0.5000 0.5000 0.5000
Se 0.0000 0.5000 0.5000
Se 0.5000 0.0000 0.5000
Br 0.5000 0.5000 0.0000

Principal peaks in the range 15 to 90 degrees two-theta, most intense first:
two_theta  Rel. int.
33.39  100
38.33  37
66.18  27
56.28  24
39.58  17
55.33  13
67.89  12
70.14  12
82.08  4
85.24  2


Starting from the GGA-PBE geometry in Alexandria, the powder X-ray diffraction pattern of Sm4BBr5 was calculated for a wavelength of 1.5418 Å.
Peak positions follow from Bragg's law for the DFT cell and can differ from measured ones.

a b c (Å): 9.3819 9.3819 8.3753
angles (deg): 102.85 102.85 24.69
Element x y z (fractional)
Sm 0.0007 0.0007 0.2884
Sm 0.3561 0.3561 0.4233
Sm 0.6439 0.6439 0.5767
Sm 0.9993 0.9993 0.7116
B 0.5000 0.5000 0.5000
Br 0.1654 0.1654 0.8384
Br 0.1711 0.1711 0.3331
Br 0.5000 0.5000 0.0000
Br 0.8289 0.8289 0.6669
Br 0.8346 0.8346 0.1616

Principal peaks in the range 15 to 90 degrees two-theta, most intense first:
two_theta  Rel. int.
30.86  100
43.61  61
30.04  46
33.58  25
30.28  21
45.20  18
32.97  17
43.21  17
27.64  16
55.23  16


Starting from the GGA-PBE geometry in Alexandria, the powder X-ray diffraction pattern of SrTa2BBr was calculated for a wavelength of 1.5418 Å.
Peak positions follow from Bragg's law for the DFT cell and can differ from measured ones.

a b c (Å): 4.3639 4.3639 6.3393
angles (deg): 90.00 90.00 90.00
Element x y z (fractional)
Sr 0.0000 0.0000 0.0000
Ta 0.0000 0.5000 0.5000
Ta 0.5000 0.0000 0.5000
B 0.0000 0.0000 0.5000
Br 0.5000 0.5000 0.0000

Principal peaks in the range 15 to 90 degrees two-theta, most intense first:
two_theta  Rel. int.
32.27  100
28.15  38
50.80  30
41.38  27
52.49  26
69.74  22
83.71  14
67.52  13
73.91  10
59.96  9


Starting from the GGA-PBE geometry in Alexandria, the powder X-ray diffraction pattern of Tc2BTeBr was calculated for a wavelength of 1.5418 Å.
Peak positions follow from Bragg's law for the DFT cell and can differ from measured ones.

a b c (Å): 4.5932 4.5932 5.9632
angles (deg): 90.00 90.00 90.00
Element x y z (fractional)
Tc 0.0000 0.5000 0.0000
Tc 0.5000 0.0000 0.0000
B 0.0000 0.0000 0.5000
Te 0.5000 0.5000 0.5000
Br 0.5000 0.5000 0.0000

Principal peaks in the range 15 to 90 degrees two-theta, most intense first:
two_theta  Rel. int.
19.32  100
31.36  98
29.97  76
39.23  72
50.14  70
35.91  42
65.44  31
54.23  25
56.68  24
44.09  23


Starting from the GGA-PBE geometry in Alexandria, the powder X-ray diffraction pattern of Tl3BBr6 was calculated for a wavelength of 1.5418 Å.
Peak positions follow from Bragg's law for the DFT cell and can differ from measured ones.

a b c (Å): 10.1313 10.1313 8.0452
angles (deg): 90.00 90.00 103.11
Element x y z (fractional)
Tl 0.0981 0.9019 0.5000
Tl 0.2072 0.3971 0.4692
Tl 0.3971 0.2072 0.9692
Tl 0.6029 0.7928 0.4692
Tl 0.7928 0.6029 0.9692
Tl 0.9019 0.0981 0.0000
B 0.3154 0.6846 0.9001
B 0.6846 0.3154 0.4001
Br 0.1261 0.6095 0.8068
Br 0.1495 0.1701 0.7277
Br 0.1701 0.1495 0.2277
Br 0.3095 0.6905 0.1510
Br 0.3905 0.8739 0.8068
Br 0.4388 0.5612 0.8222
Br 0.5612 0.4388 0.3222
Br 0.6095 0.1261 0.3068
Br 0.6905 0.3095 0.6510
Br 0.8299 0.8505 0.7277
Br 0.8505 0.8299 0.2277
Br 0.8739 0.3905 0.3068

Principal peaks in the range 15 to 90 degrees two-theta, most intense first:
two_theta  Rel. int.
21.12  100
31.30  52
21.30  39
31.68  31
28.81  24
35.45  23
29.34  19
41.24  18
34.66  15
52.77  14


Starting from the GGA-PBE geometry in Alexandria, the powder X-ray diffraction pattern of Y4BBr6 was calculated for a wavelength of 1.5418 Å.
Peak positions follow from Bragg's law for the DFT cell and can differ from measured ones.

a b c (Å): 10.7698 10.7698 12.6379
angles (deg): 95.16 95.16 63.31
Element x y z (fractional)
Y 0.0297 0.7893 0.1925
Y 0.0432 0.2832 0.5448
Y 0.0809 0.8597 0.9123
Y 0.1403 0.9191 0.5877
Y 0.2107 0.9703 0.3075
Y 0.2832 0.0432 0.0448
Y 0.3110 0.6169 0.3960
Y 0.3831 0.6890 0.1040
Y 0.6169 0.3110 0.8960
Y 0.6890 0.3831 0.6040
Y 0.7168 0.9568 0.9552
Y 0.7893 0.0297 0.6925
Y 0.8597 0.0809 0.4123
Y 0.9191 0.1403 0.0877
Y 0.9568 0.7168 0.4552
Y 0.9703 0.2107 0.8075
B 0.0876 0.8400 0.3947
B 0.1600 0.9124 0.1053
B 0.8400 0.0876 0.8947
B 0.9124 0.1600 0.6053
Br 0.0307 0.7523 0.6859
Br 0.0457 0.3061 0.0231
Br 0.1212 0.3555 0.7457
Br 0.1921 0.4478 0.4675
Br 0.2477 0.9693 0.8141
Br 0.2749 0.5164 0.1823
Br 0.3061 0.0457 0.5231
Br 0.3415 0.5864 0.8966
Br 0.3555 0.1212 0.2457
Br 0.4136 0.6585 0.6034
Br 0.4478 0.1921 0.9675
Br 0.4836 0.7251 0.3177
Br 0.5164 0.2749 0.6823
Br 0.5522 0.8079 0.0325
Br 0.5864 0.3415 0.3966
Br 0.6445 0.8788 0.7543
Br 0.6585 0.4136 0.1034
Br 0.6939 0.9543 0.4769
Br 0.7251 0.4836 0.8177
Br 0.7523 0.0307 0.1859
Br 0.8079 0.5522 0.5325
Br 0.8788 0.6445 0.2543
Br 0.9543 0.6939 0.9769
Br 0.9693 0.2477 0.3141

Principal peaks in the range 15 to 90 degrees two-theta, most intense first:
two_theta  Rel. int.
31.66  100
31.07  87
31.32  85
44.95  55
45.13  55
43.66  29
45.72  28
56.68  26
54.92  26
20.15  18


Starting from the GGA-PBE geometry in Alexandria, the powder X-ray diffraction pattern of B3C7 was calculated for a wavelength of 1.5418 Å.
Peak positions follow from Bragg's law for the DFT cell and can differ from measured ones.

a b c (Å): 10.0843 10.0843 10.0843
angles (deg): 165.77 165.59 20.31
Element x y z (fractional)
B 0.0000 0.0000 0.0000
B 0.1515 0.6515 0.5000
B 0.3956 0.3956 0.0000
C 0.2060 0.2060 0.0000
C 0.3397 0.8397 0.5000
C 0.5559 0.0559 0.5000
C 0.5973 0.5973 0.0000
C 0.7490 0.2490 0.5000
C 0.7967 0.7967 0.0000
C 0.9468 0.4468 0.5000

Principal peaks in the range 15 to 90 degrees two-theta, most intense first:
two_theta  Rel. int.
42.77  100
42.36  99
71.20  53
75.09  12
76.22  12
82.20  8
17.87  8
82.48  8
36.20  3
26.95  3